(1)
Simulated XRD peak list
Compound: Nd2As6Xe5F46
Radiation: Cu Kα (weighted mean of Kα1 and Kα2)
Structure: the PBE geometry in the Materials Project
Intensities are scaled so that the largest is 100.

Structural model:
Lattice parameters (Å, degrees): 35.544 5.985 10.369 90.00 103.64 90.00
Space group C2/m (No. 12)
One atom of each set of equivalent atoms:
Nd: 0.116 0.000 0.294 x4
As: 0.033 0.500 0.319 x4
As: 0.131 0.500 0.023 x4
As: 0.177 0.500 0.544 x4
Xe: 0.000 0.000 0.000 x2
Xe: 0.089 0.000 0.691 x4
Xe: 0.223 0.000 0.134 x4
F: 0.001 0.285 0.693 x8
F: 0.028 0.500 0.147 x4
F: 0.043 0.500 0.492 x4
F: 0.055 0.000 0.122 x4
F: 0.070 0.000 0.859 x4
F: 0.072 0.291 0.331 x8
F: 0.085 0.500 0.918 x4
F: 0.111 0.000 0.515 x4
F: 0.114 0.291 0.126 x8
F: 0.132 0.500 0.584 x4
F: 0.147 0.286 0.933 x8
F: 0.158 0.291 0.415 x8
F: 0.176 0.500 0.141 x4
F: 0.177 0.000 0.235 x4
F: 0.194 0.286 0.658 x8
F: 0.220 0.500 0.487 x4
F: 0.234 0.500 0.963 x4

Top 10 peaks for 15 to 90 degrees two-theta, low angle first:
(hkl), 2θ/deg, I (rel.)
3 1 1, 19.73, 36
6 0 -2, 20.52, 38
5 1 1, 22.76, 100
3 1 -2, 22.97, 36
7 1 -1, 23.40, 31
5 1 -2, 24.33, 96
3 1 2, 25.66, 52
9 1 0, 27.61, 40
0 2 0, 29.86, 54
3 1 -5, 46.40, 29



(2)
Simulated XRD peak list
Compound: NpSb
Radiation: Cu Kα (weighted mean of Kα1 and Kα2)
Structure: the PBE geometry in the Materials Project
Intensities are scaled so that the largest is 100.

Structural model:
Lattice parameters (Å, degrees): 6.230 6.230 6.230 90.00 90.00 90.00
Space group Fm-3m (No. 225)
One atom of each set of equivalent atoms:
Np: 0.000 0.000 0.000 x4
Sb: 0.000 0.000 0.500 x4

Top 10 peaks for 15 to 90 degrees two-theta, low angle first:
(hkl), 2θ/deg, I (rel.)
1 1 1, 24.75, 18
2 0 0, 28.66, 100
2 2 0, 40.97, 77
3 1 1, 48.46, 10
2 2 2, 50.76, 28
4 0 0, 59.33, 13
3 3 1, 65.28, 4
4 2 0, 67.20, 36
4 2 2, 74.63, 27
4 4 0, 88.85, 9



(3)
Simulated XRD peak list
Compound: ScP
Radiation: Cu Kα (weighted mean of Kα1 and Kα2)
Structure: the PBE geometry in the Materials Project
Intensities are scaled so that the largest is 100.

Structural model:
Lattice parameters (Å, degrees): 5.934 5.934 5.934 90.00 90.00 90.00
Space group F-43m (No. 216)
One atom of each set of equivalent atoms:
Sc: 0.000 0.000 0.000 x4
P: 0.250 0.250 0.750 x4

Top 10 peaks for 15 to 90 degrees two-theta, low angle first:
(hkl), 2θ/deg, I (rel.)
1 1 1, 26.01, 100
2 0 0, 30.12, 3
2 2 0, 43.11, 66
3 1 1, 51.04, 40
2 2 2, 53.49, 1
4 0 0, 62.61, 10
3 3 1, 68.98, 15
4 2 0, 71.04, 1
4 2 2, 79.05, 20
5 1 1, 84.91, 11



(4)
Simulated XRD peak list
Compound: K3Re
Radiation: Cu Kα (weighted mean of Kα1 and Kα2)
Structure: the PBE geometry in the Materials Project
Intensities are scaled so that the largest is 100.

Structural model:
Lattice parameters (Å, degrees): 5.713 5.713 10.451 90.00 90.00 90.00
Space group I4/mmm (No. 139)
One atom of each set of equivalent atoms:
K: 0.000 0.000 0.000 x2
K: 0.000 0.500 0.250 x4
Re: 0.000 0.000 0.500 x2

Top 10 peaks for 15 to 90 degrees two-theta, low angle first:
(hkl), 2θ/deg, I (rel.)
0 0 2, 16.97, 17
1 0 1, 17.69, 61
1 1 0, 22.00, 18
1 1 2, 27.92, 100
1 0 3, 30.04, 17
2 0 0, 31.32, 37
2 1 1, 36.19, 22
2 0 4, 47.14, 23
3 1 2, 53.68, 30
2 2 4, 57.66, 24